Entry 1:
Diffraction record for CeTmCdAg. The powder diffraction line list is calculated, not measured: it uses the GGA-PBE geometry in Alexandria and Cu Kα (weighted mean of Kα1 and Kα2).
Lines closer than 0.1° are merged.

Crystal structure
```
CeTmCdAg
1.0
7.4433 0.0000 0.0000
0.0000 7.4433 0.0000
0.0000 0.0000 7.4433
Ce Tm Cd Ag
4 4 4 4
direct
0.0000 0.0000 0.0000 Ce
0.0000 0.5000 0.5000 Ce
0.5000 0.0000 0.5000 Ce
0.5000 0.5000 0.0000 Ce
0.0000 0.0000 0.5000 Tm
0.0000 0.5000 0.0000 Tm
0.5000 0.0000 0.0000 Tm
0.5000 0.5000 0.5000 Tm
0.2500 0.2500 0.7500 Cd
0.2500 0.7500 0.2500 Cd
0.7500 0.2500 0.2500 Cd
0.7500 0.7500 0.7500 Cd
0.2500 0.2500 0.2500 Ag
0.2500 0.7500 0.7500 Ag
0.7500 0.2500 0.7500 Ag
0.7500 0.7500 0.2500 Ag
```

Main lines, in order of rising 2θ (10° ≤ 2θ ≤ 90°):
2θ/deg  I/Imax
20.67  0.6
23.91  2.6
34.07  100.0
42.05  0.9
48.95  17.8
55.19  1.3
60.98  36.2
71.73  11.1
76.84  0.7
81.85  15.6

Entry 2:
Diffraction record for CdAg3Cl4. The powder diffraction line list is calculated, not measured: it uses the GGA-PBE geometry in Alexandria and Cu Kα (weighted mean of Kα1 and Kα2).
Lines closer than 0.1° are merged.

Crystal structure
```
CdAg3Cl4
1.0
6.1699 0.0000 0.0000
0.0000 6.1699 0.0000
0.0000 0.0000 12.1923
Cd Ag Cl
2 6 8
direct
0.0000 0.0000 0.0000 Cd
0.5000 0.5000 0.5000 Cd
0.0000 0.0000 0.5000 Ag
0.0000 0.5000 0.2500 Ag
0.0000 0.5000 0.7500 Ag
0.5000 0.0000 0.2500 Ag
0.5000 0.0000 0.7500 Ag
0.5000 0.5000 0.0000 Ag
0.2443 0.2443 0.3722 Cl
0.2443 0.7557 0.6278 Cl
0.2557 0.2557 0.8722 Cl
0.2557 0.7443 0.1278 Cl
0.7443 0.2557 0.1278 Cl
0.7443 0.7443 0.8722 Cl
0.7557 0.2443 0.6278 Cl
0.7557 0.7557 0.3722 Cl
```

Main lines, in order of rising 2θ (10° ≤ 2θ ≤ 90°):
2θ/deg  I/Imax
25.10  100.0
28.94  14.3
29.30  7.0
41.39  19.8
41.65  38.9
49.02  30.3
49.48  14.7
51.52  6.0
59.97  6.1
66.43  11.6
75.67  12.1
81.01  6.6

Entry 3:
Diffraction record for CdAg5Cl12. The powder diffraction line list is calculated, not measured: it uses the GGA-PBE geometry in Alexandria and Cu Kα (weighted mean of Kα1 and Kα2).
Lines closer than 0.1° are merged.

Crystal structure
```
CdAg5Cl12
1.0
6.6401 0.0000 0.0000
-2.4343 6.2031 0.0000
-0.5118 -0.2711 12.4188
Cd Ag Cl
1 5 12
direct
0.0000 0.0000 0.0000 Cd
0.1665 0.3338 0.4999 Ag
0.3326 0.6673 0.9998 Ag
0.5000 0.0000 0.5000 Ag
0.6674 0.3327 0.0002 Ag
0.8335 0.6662 0.5001 Ag
0.0620 0.7088 0.1196 Cl
0.1260 0.6195 0.6156 Cl
0.2078 0.0486 0.3840 Cl
0.2864 0.9440 0.8805 Cl
0.3611 0.3569 0.1052 Cl
0.4579 0.2862 0.6161 Cl
0.5421 0.7138 0.3839 Cl
0.6389 0.6431 0.8948 Cl
0.7136 0.0560 0.1195 Cl
0.7922 0.9514 0.6160 Cl
0.8740 0.3805 0.3844 Cl
0.9380 0.2912 0.8804 Cl
```

Main lines, in order of rising 2θ (10° ≤ 2θ ≤ 90°):
2θ/deg  I/Imax
14.26  100.0
24.55  24.9
25.12  23.1
28.00  14.6
30.30  11.9
31.29  12.2
31.55  12.3
34.79  30.6
39.17  14.0
40.74  12.4
43.78  12.9
45.74  17.4

Entry 4:
Diffraction record for Cd2Ag3Cl7. The powder diffraction line list is calculated, not measured: it uses the GGA-PBE geometry in Alexandria and Cu Kα (weighted mean of Kα1 and Kα2).
Lines closer than 0.1° are merged.

Crystal structure
```
Cd2Ag3Cl7
1.0
12.1594 -3.4822 0.0000
12.1594 3.4822 0.0000
0.0000 0.0000 6.9098
Cd Ag Cl
4 6 14
direct
0.1439 0.6484 0.5000 Cd
0.3516 0.8561 0.5000 Cd
0.6484 0.1439 0.0000 Cd
0.8561 0.3516 0.0000 Cd
0.0322 0.5711 0.9436 Ag
0.2572 0.7428 0.0497 Ag
0.4289 0.9678 0.9436 Ag
0.5711 0.0322 0.4436 Ag
0.7428 0.2572 0.5497 Ag
0.9678 0.4289 0.4436 Ag
0.0088 0.8413 0.8297 Cl
0.0730 0.3386 0.0778 Cl
0.1587 0.9912 0.8297 Cl
0.2889 0.4420 0.1812 Cl
0.3386 0.0730 0.5778 Cl
0.3703 0.6297 0.4159 Cl
0.4420 0.2889 0.6812 Cl
0.5580 0.7111 0.1812 Cl
0.6297 0.3703 0.9159 Cl
0.6614 0.9270 0.0778 Cl
0.7111 0.5580 0.6812 Cl
0.8413 0.0088 0.3297 Cl
0.9270 0.6614 0.5778 Cl
0.9912 0.1587 0.3297 Cl
```

Main lines, in order of rising 2θ (10° ≤ 2θ ≤ 90°):
2θ/deg  I/Imax
25.58  23.4
25.79  100.0
28.71  12.1
31.56  8.2
36.64  22.0
36.96  14.1
42.83  10.8
45.23  31.5
45.48  30.0
45.62  12.8
53.03  11.8
60.11  8.2